Calculated powder diffraction line list of Tc2SnHgO8 for a wavelength of 1.5418 Å, from DFT lattice parameters and positions (GGA-PBE).
Intensities are scaled so that the largest is 100.

The 10 most intense peaks (5° ≤ 2θ ≤ 70°), by angle:
2θ = 22.81°, intensity 100; 2θ = 23.25°, intensity 61; 2θ = 25.44°, intensity 27; 2θ = 26.37°, intensity 61; 2θ = 31.47°, intensity 20; 2θ = 33.64°, intensity 20; 2θ = 38.67°, intensity 17; 2θ = 39.49°, intensity 30; 2θ = 42.82°, intensity 24; 2θ = 49.19°, intensity 16

Structure:
a b c (Å): 7.263 7.263 5.784
angles (deg): 104.30 104.30 63.57
Positions (direct):
Tc 0.182 0.182 0.202
Tc 0.818 0.818 0.798
Sn 0.000 0.000 0.500
Hg 0.500 0.500 0.000
O 0.056 0.704 0.686
O 0.141 0.141 0.882
O 0.296 0.944 0.314
O 0.327 0.327 0.315
O 0.673 0.673 0.685
O 0.704 0.056 0.686
O 0.859 0.859 0.118
O 0.944 0.296 0.314